LiMnSi3O8: simulated powder diffractogram (a wavelength of 1.5418 Å), based on the PBE+U geometry in the Materials Project.

Cell and atoms:
```
LiMnSi3O8
1.0
7.0908 0.0000 0.0000
0.9328 7.1087 0.0000
3.5090 3.1087 6.1951
Li Mn Si O
2 2 6 16
Direct
0.1968 0.3600 0.3228
0.8032 0.6400 0.6772
0.1491 0.9453 0.2803
0.8509 0.0547 0.7197
0.2629 0.6769 0.6667
0.2640 0.2296 0.7230
0.3796 0.8016 0.9548
0.6204 0.1984 0.0452
0.7360 0.7704 0.2770
0.7371 0.3231 0.3333
0.0830 0.8040 0.5909
0.1157 0.1811 0.6382
0.1946 0.4248 0.7820
0.2594 0.0279 0.9489
0.2755 0.7212 0.8478
0.2981 0.6607 0.2087
0.3646 0.1453 0.1987
0.4942 0.7354 0.4607
0.5058 0.2646 0.5393
0.6354 0.8547 0.8013
0.7019 0.3393 0.7913
0.7245 0.2788 0.1522
0.7406 0.9721 0.0511
0.8054 0.5752 0.2180
0.8843 0.8189 0.3618
0.9170 0.1960 0.4091
```

Principal peaks in the range 5° ≤ 2θ ≤ 70°, sorted by position:
2θ (°), Rel. int.
13.9, 100.0
16.6, 28.2
20.8, 41.0
23.8, 98.9
24.2, 33.6
27.2, 55.0
28.4, 70.1
28.8, 36.4
29.9, 31.6
30.2, 33.5
30.7, 56.6
41.8, 27.7

***

Li5MnSi2O8: simulated powder diffractogram (a wavelength of 1.5418 Å), based on the PBE+U geometry in the Materials Project.

Cell and atoms:
```
Li5MnSi2O8
1.0
3.6342 -3.8062 0.0000
3.6342 3.8062 0.0000
-0.2019 0.0000 6.3472
Li Mn Si O
5 1 2 8
Direct
0.0000 0.0000 0.0000
0.3554 0.6446 0.0000
0.5078 0.1217 0.7577
0.8783 0.4922 0.2423
0.9895 0.0105 0.5000
0.3640 0.6360 0.5000
0.5182 0.1360 0.2401
0.8640 0.4818 0.7599
0.3769 0.0031 0.4487
0.3809 0.0211 0.0261
0.4793 0.4568 0.2594
0.5432 0.5207 0.7406
0.8241 0.1154 0.2518
0.8846 0.1759 0.7482
0.9789 0.6191 0.9739
0.9969 0.6231 0.5513
```

Principal peaks in the range 5° ≤ 2θ ≤ 70°, sorted by position:
2θ (°), Rel. int.
14.0, 32.5
16.9, 38.8
21.7, 40.0
22.2, 100.0
23.4, 22.0
27.3, 18.6
27.9, 35.8
32.6, 48.9
33.3, 51.1
34.1, 95.4
59.7, 26.8
61.0, 26.4

***

Li2Mn3Si3O10: simulated powder diffractogram (a wavelength of 1.5418 Å), based on the PBE+U geometry in the Materials Project.

Cell and atoms:
```
Li2Mn3Si3O10
1.0
8.0543 -2.4568 0.0000
8.0543 2.4568 0.0000
-0.6053 0.0000 10.5958
Li Mn Si O
4 6 6 20
Direct
0.1352 0.7495 0.5249
0.2505 0.8648 0.9751
0.7495 0.1352 0.0249
0.8648 0.2505 0.4751
0.0000 0.5000 0.5000
0.0706 0.6255 0.7927
0.3745 0.9294 0.7073
0.5000 0.0000 0.0000
0.6255 0.0706 0.2927
0.9294 0.3745 0.2073
0.1645 0.5291 0.0990
0.2011 0.7989 0.2500
0.4709 0.8355 0.4010
0.5291 0.1645 0.5990
0.7989 0.2011 0.7500
0.8355 0.4709 0.9010
0.0203 0.0627 0.6407
0.0627 0.0203 0.1407
0.1390 0.1670 0.3972
0.1670 0.1390 0.8972
0.2391 0.2993 0.1653
0.2993 0.2391 0.6653
0.3121 0.3937 0.9602
0.3568 0.5066 0.1838
0.3937 0.3121 0.4602
0.4934 0.6432 0.3162
0.5066 0.3568 0.6838
0.6063 0.6879 0.5398
0.6432 0.4934 0.8162
0.6879 0.6063 0.0398
0.7007 0.7609 0.3347
0.7609 0.7007 0.8347
0.8330 0.8610 0.1028
0.8610 0.8330 0.6028
0.9373 0.9797 0.8593
0.9797 0.9373 0.3593
```

Principal peaks in the range 5° ≤ 2θ ≤ 70°, sorted by position:
2θ (°), Rel. int.
11.0, 70.0
19.5, 29.5
25.7, 100.0
31.4, 21.5
32.0, 54.5
34.0, 20.2
34.8, 55.3
36.2, 33.0
38.3, 14.4
47.1, 18.6
52.8, 18.1
57.3, 13.9